(1)
Theoretical powder diffraction line list
Compound: NdReO3
Radiation: Cu Kα, 1.54184 Å
Structure: a PBE-relaxed structure
Neutral-atom scattering factors, no anomalous dispersion.

Structural model:
Lattice parameters (Å, degrees): 4.0008 4.0008 4.0008 90.00 90.00 90.00
Element x y z (fractional)
Nd 0.0000 0.0000 0.0000
Re 0.5000 0.5000 0.5000
O 0.0000 0.5000 0.5000
O 0.5000 0.0000 0.5000
O 0.5000 0.5000 0.0000

Main lines, in order of rising 2θ (2θ = 5–70°):
4.001 Å, I 4; 2.829 Å, I 100; 2.000 Å, I 27; 1.789 Å, I 2; 1.633 Å, I 40; 1.414 Å, I 17

(2)
Theoretical powder diffraction line list
Compound: Nd4Re6O19
Radiation: Cu Kα, 1.54184 Å
Structure: a PBE-relaxed structure
Neutral-atom scattering factors, no anomalous dispersion.

Structural model:
Lattice parameters (Å, degrees): 7.8354 7.8354 7.8354 109.47 109.47 109.47
Element x y z (fractional)
Nd 0.0000 0.0000 0.3118
Nd 0.0000 0.3118 0.0000
Nd 0.3118 0.0000 0.0000
Nd 0.6882 0.6882 0.6882
Re 0.1334 0.5000 0.6334
Re 0.3666 0.8666 0.5000
Re 0.5000 0.3666 0.8666
Re 0.5000 0.6334 0.1334
Re 0.6334 0.1334 0.5000
Re 0.8666 0.5000 0.3666
O 0.0000 0.0000 0.0000
O 0.0000 0.3193 0.3193
O 0.0000 0.6807 0.6807
O 0.0562 0.6976 0.3184
O 0.2622 0.6415 0.9438
O 0.3024 0.3585 0.6208
O 0.3184 0.0562 0.6976
O 0.3193 0.0000 0.3193
O 0.3193 0.3193 0.0000
O 0.3585 0.6208 0.3024
O 0.3792 0.7378 0.6816
O 0.6208 0.3024 0.3585
O 0.6415 0.9438 0.2622
O 0.6807 0.0000 0.6807
O 0.6807 0.6807 0.0000
O 0.6816 0.3792 0.7378
O 0.6976 0.3184 0.0562
O 0.7378 0.6816 0.3792
O 0.9438 0.2622 0.6415

Main lines, in order of rising 2θ (2θ = 5–70°):
6.398 Å, I 22; 4.524 Å, I 31; 3.694 Å, I 38; 2.861 Å, I 100; 2.418 Å, I 53; 2.133 Å, I 15; 1.847 Å, I 15; 1.774 Å, I 64; 1.652 Å, I 21; 1.508 Å, I 32

(3)
Theoretical powder diffraction line list
Compound: Nd2Ru2O7
Radiation: Cu Kα, 1.54184 Å
Structure: a PBE-relaxed structure
Neutral-atom scattering factors, no anomalous dispersion.

Structural model:
Lattice parameters (Å, degrees): 7.3775 7.3775 7.3775 60.00 60.00 60.00
Element x y z (fractional)
Nd 0.0000 0.0000 0.0000
Nd 0.0000 0.0000 0.5000
Nd 0.0000 0.5000 0.0000
Nd 0.5000 0.0000 0.0000
Ru 0.0000 0.5000 0.5000
Ru 0.5000 0.0000 0.5000
Ru 0.5000 0.5000 0.0000
Ru 0.5000 0.5000 0.5000
O 0.1250 0.1250 0.1250
O 0.1709 0.1709 0.5791
O 0.1709 0.5791 0.1709
O 0.1709 0.5791 0.5791
O 0.4209 0.4209 0.8291
O 0.4209 0.8291 0.4209
O 0.4209 0.8291 0.8291
O 0.5791 0.1709 0.1709
O 0.5791 0.1709 0.5791
O 0.5791 0.5791 0.1709
O 0.8291 0.4209 0.4209
O 0.8291 0.4209 0.8291
O 0.8291 0.8291 0.4209
O 0.8750 0.8750 0.8750

Main lines, in order of rising 2θ (2θ = 5–70°):
6.024 Å, I 2; 3.146 Å, I 1; 3.012 Å, I 100; 2.608 Å, I 33; 2.394 Å, I 4; 2.008 Å, I 2; 1.844 Å, I 46; 1.764 Å, I 1; 1.573 Å, I 43; 1.506 Å, I 10

(4)
Theoretical powder diffraction line list
Compound: SrNdZnRuO6
Radiation: Cu Kα, 1.54184 Å
Structure: a PBE-relaxed structure
Neutral-atom scattering factors, no anomalous dispersion.

Structural model:
Lattice parameters (Å, degrees): 5.6013 5.7341 9.6954 90.00 125.26 90.00
Element x y z (fractional)
Sr 0.0000 0.2102 0.0000
Sr 0.0000 0.7898 0.5000
Nd 0.5213 0.3086 0.4990
Nd 0.5213 0.6914 0.9990
Zn 0.2570 0.2395 0.7488
Zn 0.2570 0.7605 0.2488
Ru 0.7590 0.2475 0.2514
Ru 0.7590 0.7525 0.7514
O 0.0971 0.2329 0.4928
O 0.0971 0.7671 0.9928
O 0.4445 0.2780 0.0082
O 0.4445 0.7220 0.5082
O 0.5147 0.0571 0.2986
O 0.5147 0.9429 0.7986
O 0.5926 0.4772 0.7947
O 0.5926 0.5228 0.2947
O 0.8966 0.0411 0.7026
O 0.8966 0.9589 0.2026
O 0.9924 0.4602 0.2109
O 0.9924 0.5398 0.7109

Main lines, in order of rising 2θ (2θ = 5–70°):
2.867 Å, I 22; 2.816 Å, I 100; 2.801 Å, I 25; 2.003 Å, I 25; 1.979 Å, I 15; 1.645 Å, I 13; 1.629 Å, I 10; 1.620 Å, I 23; 1.616 Å, I 11; 1.408 Å, I 13